No. 1
# Hf2SiSnPd2
Computed PXRD pattern, Cu Ka. Input: a structure optimized by DFT (GGA-PBE).
Peak positions follow from Bragg's law for the DFT cell and can differ from measured ones.

Crystal structure
```
data_Hf2SiSnPd2
_cell_length_a 10.7428
_cell_length_b 4.3860
_cell_length_c 10.7531
_cell_angle_alpha 90.00
_cell_angle_beta 109.51
_cell_angle_gamma 90.00
_space_group_name_H-M_alt 'P 1 m 1'
_space_group_IT_number 6
loop_
_space_group_symop_operation_xyz
'x,y,z'
'x,-y,z'
loop_
_atom_site_label
_atom_site_type_symbol
_atom_site_fract_x
_atom_site_fract_y
_atom_site_fract_z
Hf1 Hf 0.0000 0.0000 0.0000
Hf2 Hf 0.1165 0.5000 0.3732
Hf3 Hf 0.2380 0.0000 0.7419
Hf4 Hf 0.3756 0.5000 0.1349
Hf5 Hf 0.4980 0.0000 0.4992
Hf6 Hf 0.6236 0.5000 0.8671
Hf7 Hf 0.7466 0.0000 0.2563
Hf8 Hf 0.8659 0.5000 0.6202
Si1 Si 0.2471 0.0000 0.2510
Si2 Si 0.6215 0.5000 0.3762
Si3 Si 0.7457 0.0000 0.7465
Si4 Si 0.9930 0.0000 0.4978
Sn1 Sn 0.1194 0.5000 0.8741
Sn2 Sn 0.3690 0.5000 0.6211
Sn3 Sn 0.4969 0.0000 0.0004
Sn4 Sn 0.8704 0.5000 0.1240
Pd1 Pd 0.1304 0.5000 0.1332
Pd2 Pd 0.2361 0.0000 0.4887
Pd3 Pd 0.3699 0.5000 0.8735
Pd4 Pd 0.4988 0.0000 0.2593
Pd5 Pd 0.6254 0.5000 0.6210
Pd6 Pd 0.7475 0.0000 0.9892
Pd7 Pd 0.8686 0.5000 0.3800
Pd8 Pd 0.9851 0.0000 0.7398
```

The 12 most intense peaks (2θ from 10° to 80°), sorted by position:
- 3.582 Å, 2θ 24.9, I = 43, hkl 1 0 -3
- 3.377 Å, 2θ 26.4, I = 1, hkl 3 0 0
- 3.102 Å, 2θ 28.8, I = 21, hkl 2 0 2
- 2.677 Å, 2θ 33.5, I = 1, hkl 0 1 3
- 2.193 Å, 2θ 41.2, I = 100, hkl 0 2 0
- 1.871 Å, 2θ 48.7, I = 20, hkl 1 2 -3
- 1.791 Å, 2θ 51.0, I = 6, hkl 2 2 2
- 1.551 Å, 2θ 59.6, I = 17, hkl 4 2 -4
- 1.423 Å, 2θ 65.6, I = 8, hkl 1 3 1
- 1.387 Å, 2θ 67.5, I = 8, hkl 6 1 2
- 1.266 Å, 2θ 75.0, I = 31, hkl 4 3 0
- 1.266 Å, 2θ 75.0, I = 3, hkl 8 0 0

No. 2
# Hf2ZnPd3
Computed PXRD pattern, Cu Ka. Input: a structure optimized by DFT (GGA-PBE).
Peak positions follow from Bragg's law for the DFT cell and can differ from measured ones.

Crystal structure
```
data_Hf2ZnPd3
_cell_length_a 3.4550
_cell_length_b 3.4550
_cell_length_c 8.5964
_cell_angle_alpha 90.00
_cell_angle_beta 90.00
_cell_angle_gamma 90.00
_space_group_name_H-M_alt 'P 4 m m'
_space_group_IT_number 99
loop_
_space_group_symop_operation_xyz
'x,y,z'
'-y,x,z'
'-x,-y,z'
'y,-x,z'
'-x,y,z'
'y,x,z'
'x,-y,z'
'-y,-x,z'
loop_
_atom_site_label
_atom_site_type_symbol
_atom_site_fract_x
_atom_site_fract_y
_atom_site_fract_z
Hf1 Hf 0.0000 0.0000 0.0000
Hf2 Hf 0.5000 0.5000 0.4842
Zn1 Zn 0.0000 0.0000 0.6669
Pd1 Pd 0.0000 0.0000 0.3410
Pd2 Pd 0.5000 0.5000 0.1525
Pd3 Pd 0.5000 0.5000 0.8143
```

The 12 most intense peaks (2θ from 10° to 80°), sorted by position:
- 4.298 Å, 2θ 20.7, I = 7, hkl 0 0 2
- 3.206 Å, 2θ 27.8, I = 12, hkl 1 0 1
- 2.443 Å, 2θ 36.8, I = 70, hkl 1 1 0
- 2.206 Å, 2θ 40.9, I = 100, hkl 1 0 3
- 2.124 Å, 2θ 42.6, I = 4, hkl 1 1 2
- 1.727 Å, 2θ 53.0, I = 24, hkl 2 0 0
- 1.521 Å, 2θ 60.9, I = 3, hkl 2 1 1
- 1.433 Å, 2θ 65.1, I = 6, hkl 0 0 6
- 1.360 Å, 2θ 69.1, I = 42, hkl 2 1 3
- 1.323 Å, 2θ 71.3, I = 2, hkl 1 0 6
- 1.236 Å, 2θ 77.2, I = 14, hkl 1 1 6
- 1.222 Å, 2θ 78.3, I = 8, hkl 2 2 0